# Tb4PmDy10
Computed powder diffractogram, Cu Kα, 1.54184 Å. Input: a PBE-relaxed structure.
Kinematic intensities with the Lorentz-polarization factor, no thermal factor.

Cell and atoms:
```
data_Tb4PmDy10
_chemical_formula_sum 'Tb8 Pm2 Dy20'
_symmetry_space_group_name_H-M 'I 4/m'
_symmetry_Int_Tables_number 87
_symmetry_space_group_name_Hall '-I 4'
_cell_length_a 12.160
_cell_length_b 12.160
_cell_length_c 7.686
_cell_angle_alpha 90.00
_cell_angle_beta 90.00
_cell_angle_gamma 90.00
loop_
_atom_site_label
_atom_site_type_symbol
_atom_site_fract_x
_atom_site_fract_y
_atom_site_fract_z
Tb1 Tb 0.100 0.700 0.000
Pm1 Pm 0.000 0.000 0.500
Dy1 Dy 0.000 0.500 0.250
Dy2 Dy 0.101 0.201 0.249
```

Largest 10 diffraction maxima, low angle first, 2θ = 10–90°:
hkl 1 2 1, 2θ 20.00, I = 247; hkl 3 1 0, 2θ 23.13, I = 147; hkl 3 1 2, 2θ 32.95, I = 1000; hkl 5 0 1, 2θ 38.84, I = 137; hkl 6 2 0, 2θ 47.29, I = 183; hkl 5 0 3, 2θ 51.83, I = 60; hkl 6 2 2, 2θ 53.28, I = 62; hkl 5 5 2, 2θ 58.84, I = 383; hkl 6 2 4, 2θ 69.10, I = 118; hkl 10 0 0, 2θ 78.71, I = 165